(1)
For SrYAl3O7, a DFT-relaxed cell (GGA-PBE, the Materials Project) gives the theoretical PXRD pattern in this record (Cu Ka).
No peak broadening, texture or thermal motion is included.

The 10 most intense peaks (2θ = 10–80°), in order of rising 2θ:
- 17.13 deg, intensity 18.1
- 23.37 deg, intensity 17.1
- 28.53 deg, intensity 40.5
- 30.57 deg, intensity 100.0
- 30.95 deg, intensity 87.9
- 35.92 deg, intensity 17.1
- 43.28 deg, intensity 17.7
- 43.56 deg, intensity 20.0
- 50.79 deg, intensity 32.1
- 51.14 deg, intensity 20.7

Crystal structure
abc: 7.8565 7.8565 5.1778
angles: 90.00 90.00 91.25
Sites, in units of the cell vectors:
Sr (0.1623, 0.8377, 0.0000)
Sr (0.8377, 0.1623, 0.0000)
Y (0.3399, 0.3399, 0.9715)
Y (0.6601, 0.6601, 0.9715)
Al (0.0000, 0.5000, 0.4981)
Al (0.1492, 0.1492, 0.5299)
Al (0.3614, 0.6386, 0.4485)
Al (0.5000, 0.0000, 0.4981)
Al (0.6386, 0.3614, 0.4485)
Al (0.8508, 0.8508, 0.5299)
O (0.0000, 0.0000, 0.6465)
O (0.0979, 0.3425, 0.6948)
O (0.1614, 0.1614, 0.1940)
O (0.1654, 0.5824, 0.3024)
O (0.3425, 0.0979, 0.6948)
O (0.3754, 0.6246, 0.7867)
O (0.4176, 0.8346, 0.3024)
O (0.5000, 0.5000, 0.2816)
O (0.5824, 0.1654, 0.3024)
O (0.6246, 0.3754, 0.7867)
O (0.6575, 0.9022, 0.6948)
O (0.8346, 0.4176, 0.3024)
O (0.8386, 0.8386, 0.1940)
O (0.9022, 0.6575, 0.6948)



(2)
For TaAlO4, a DFT-relaxed cell (GGA-PBE, the Materials Project) gives the theoretical PXRD pattern in this record (Cu Ka).
No peak broadening, texture or thermal motion is included.

The 10 most intense peaks (2θ = 10–80°), in order of rising 2θ:
- 17.40 deg, intensity 98.7
- 23.87 deg, intensity 53.9
- 24.56 deg, intensity 100.0
- 27.29 deg, intensity 24.6
- 28.76 deg, intensity 47.7
- 30.59 deg, intensity 27.7
- 32.97 deg, intensity 41.2
- 38.81 deg, intensity 21.0
- 47.70 deg, intensity 21.9
- 51.13 deg, intensity 22.6

Crystal structure
abc: 6.4240 6.4240 6.5156
angles: 106.87 106.87 34.53
Sites, in units of the cell vectors:
Ta (0.1056, 0.1056, 0.2331)
Ta (0.8944, 0.8944, 0.7669)
Al (0.2007, 0.2007, 0.8204)
Al (0.7993, 0.7993, 0.1796)
O (0.0573, 0.0573, 0.8639)
O (0.1411, 0.1411, 0.5258)
O (0.2619, 0.2619, 0.1417)
O (0.3583, 0.3583, 0.7966)
O (0.6417, 0.6417, 0.2034)
O (0.7381, 0.7381, 0.8583)
O (0.8589, 0.8589, 0.4742)
O (0.9427, 0.9427, 0.1361)



(3)
For TaAlO4, a DFT-relaxed cell (GGA-PBE, the Materials Project) gives the theoretical PXRD pattern in this record (Cu Ka).
No peak broadening, texture or thermal motion is included.

The 10 most intense peaks (2θ = 10–80°), in order of rising 2θ:
- 15.55 deg, intensity 18.1
- 24.23 deg, intensity 44.0
- 28.23 deg, intensity 100.0
- 30.77 deg, intensity 48.1
- 36.67 deg, intensity 21.1
- 47.27 deg, intensity 15.7
- 49.20 deg, intensity 27.7
- 55.34 deg, intensity 24.3
- 55.89 deg, intensity 14.6
- 65.53 deg, intensity 13.6

Crystal structure
abc: 4.5134 11.3952 4.8067
angles: 90.00 90.00 90.00
Sites, in units of the cell vectors:
Ta (0.0000, 0.1685, 0.2500)
Ta (0.0000, 0.8315, 0.7500)
Ta (0.5000, 0.3315, 0.7500)
Ta (0.5000, 0.6685, 0.2500)
Al (0.0000, 0.4349, 0.2500)
Al (0.0000, 0.5651, 0.7500)
Al (0.5000, 0.0651, 0.7500)
Al (0.5000, 0.9349, 0.2500)
O (0.2257, 0.3127, 0.0806)
O (0.2257, 0.6873, 0.5806)
O (0.2330, 0.4423, 0.5773)
O (0.2330, 0.5577, 0.0773)
O (0.2670, 0.0577, 0.0773)
O (0.2670, 0.9423, 0.5773)
O (0.2743, 0.1873, 0.5806)
O (0.2743, 0.8127, 0.0806)
O (0.7257, 0.1873, 0.9194)
O (0.7257, 0.8127, 0.4194)
O (0.7330, 0.0577, 0.4227)
O (0.7330, 0.9423, 0.9227)
O (0.7670, 0.4423, 0.9227)
O (0.7670, 0.5577, 0.4227)
O (0.7743, 0.3127, 0.4194)
O (0.7743, 0.6873, 0.9194)



(4)
For Ta3Al4O14, a DFT-relaxed cell (GGA-PBE, the Materials Project) gives the theoretical PXRD pattern in this record (Cu Ka).
No peak broadening, texture or thermal motion is included.

The 10 most intense peaks (2θ = 10–80°), in order of rising 2θ:
- 13.72 deg, intensity 40.9
- 19.28 deg, intensity 54.4
- 23.74 deg, intensity 67.7
- 23.88 deg, intensity 58.9
- 30.88 deg, intensity 100.0
- 33.93 deg, intensity 53.7
- 36.85 deg, intensity 48.2
- 41.92 deg, intensity 65.6
- 54.84 deg, intensity 60.2
- 66.34 deg, intensity 40.1

Crystal structure
abc: 7.4525 7.4525 4.6027
angles: 90.00 90.00 120.00
Sites, in units of the cell vectors:
Ta (0.0538, 0.2766, 0.0000)
Ta (0.2229, 0.9462, 0.0000)
Ta (0.7234, 0.7771, 0.0000)
Al (0.3333, 0.6667, 0.5068)
Al (0.4573, 0.3641, 0.5026)
Al (0.6359, 0.0932, 0.5026)
Al (0.9068, 0.5427, 0.5026)
O (0.0000, 0.0000, 0.8144)
O (0.0968, 0.4894, 0.2758)
O (0.1435, 0.7135, 0.7249)
O (0.2477, 0.1963, 0.2280)
O (0.2865, 0.4300, 0.7249)
O (0.3926, 0.9032, 0.2758)
O (0.4305, 0.1406, 0.7338)
O (0.5106, 0.6074, 0.2758)
O (0.5700, 0.8565, 0.7249)
O (0.6667, 0.3333, 0.3254)
O (0.7101, 0.5695, 0.7338)
O (0.8037, 0.0514, 0.2280)
O (0.8594, 0.2899, 0.7338)
O (0.9486, 0.7523, 0.2280)



(5)
For TaAlO4, a DFT-relaxed cell (GGA-PBE, the Materials Project) gives the theoretical PXRD pattern in this record (Cu Ka).
No peak broadening, texture or thermal motion is included.

The 10 most intense peaks (2θ = 10–80°), in order of rising 2θ:
- 20.15 deg, intensity 98.1
- 27.28 deg, intensity 100.0
- 34.15 deg, intensity 56.6
- 35.82 deg, intensity 72.8
- 38.97 deg, intensity 20.5
- 52.77 deg, intensity 17.4
- 53.96 deg, intensity 64.5
- 56.29 deg, intensity 16.9
- 63.66 deg, intensity 15.0
- 68.54 deg, intensity 19.8

Crystal structure
abc: 5.5019 5.5019 5.5019
angles: 107.10 107.10 114.32
Sites, in units of the cell vectors:
Ta (0.0000, 0.0000, 0.0000)
Ta (0.7500, 0.2500, 0.5000)
Al (0.2397, 0.7397, 0.5000)
Al (0.4897, 0.4897, 0.0000)
O (0.1910, 0.4914, 0.6996)
O (0.2414, 0.0419, 0.8004)
O (0.2414, 0.4410, 0.1996)
O (0.2849, 0.9785, 0.3064)
O (0.6721, 0.9785, 0.6936)
O (0.7285, 0.5349, 0.8064)
O (0.7285, 0.9221, 0.1936)
O (0.7919, 0.4914, 0.3004)



(6)
For TaAlO4, a DFT-relaxed cell (GGA-PBE, the Materials Project) gives the theoretical PXRD pattern in this record (Cu Ka).
No peak broadening, texture or thermal motion is included.

The 10 most intense peaks (2θ = 10–80°), in order of rising 2θ:
- 19.30 deg, intensity 100.0
- 27.19 deg, intensity 45.7
- 27.67 deg, intensity 44.8
- 35.62 deg, intensity 67.6
- 39.18 deg, intensity 18.6
- 40.65 deg, intensity 30.6
- 44.35 deg, intensity 19.4
- 53.70 deg, intensity 29.5
- 54.25 deg, intensity 29.8
- 68.71 deg, intensity 24.8

Crystal structure
abc: 6.4487 6.5600 3.0139
angles: 90.00 90.00 90.00
Sites, in units of the cell vectors:
Ta (0.0000, 0.0000, 0.0000)
Ta (0.5000, 0.5000, 0.0000)
Al (0.0000, 0.5000, 0.5000)
Al (0.5000, 0.0000, 0.5000)
O (0.0000, 0.2016, 0.5000)
O (0.0000, 0.7984, 0.5000)
O (0.1918, 0.5000, 0.0000)
O (0.3082, 0.0000, 0.0000)
O (0.5000, 0.2984, 0.5000)
O (0.5000, 0.7016, 0.5000)
O (0.6918, 0.0000, 0.0000)
O (0.8082, 0.5000, 0.0000)



(7)
For TaTiAlO6, a DFT-relaxed cell (GGA-PBE, the Materials Project) gives the theoretical PXRD pattern in this record (Cu Ka).
No peak broadening, texture or thermal motion is included.

The 10 most intense peaks (2θ = 10–80°), in order of rising 2θ:
- 19.88 deg, intensity 29.1
- 21.63 deg, intensity 93.8
- 27.26 deg, intensity 100.0
- 33.96 deg, intensity 33.0
- 35.86 deg, intensity 66.3
- 38.93 deg, intensity 17.2
- 44.97 deg, intensity 30.2
- 53.96 deg, intensity 63.3
- 56.23 deg, intensity 17.0
- 68.52 deg, intensity 20.3

Crystal structure
abc: 4.6268 4.6268 8.9343
angles: 90.00 90.00 90.00
Sites, in units of the cell vectors:
Ta (0.0000, 0.0000, 0.0000)
Ta (0.5000, 0.5000, 0.5000)
Ti (0.0000, 0.0000, 0.6648)
Ti (0.5000, 0.5000, 0.1648)
Al (0.0000, 0.0000, 0.3340)
Al (0.5000, 0.5000, 0.8340)
O (0.1915, 0.1915, 0.4965)
O (0.1951, 0.1951, 0.1714)
O (0.2006, 0.2006, 0.8328)
O (0.2994, 0.7006, 0.3328)
O (0.3049, 0.6951, 0.6714)
O (0.3085, 0.6915, 0.9965)
O (0.6915, 0.3085, 0.9965)
O (0.6951, 0.3049, 0.6714)
O (0.7006, 0.2994, 0.3328)
O (0.7994, 0.7994, 0.8328)
O (0.8049, 0.8049, 0.1714)
O (0.8085, 0.8085, 0.4965)



(8)
For AlTeO4, a DFT-relaxed cell (GGA-PBE, the Materials Project) gives the theoretical PXRD pattern in this record (Cu Ka).
No peak broadening, texture or thermal motion is included.

The 10 most intense peaks (2θ = 10–80°), in order of rising 2θ:
- 23.71 deg, intensity 35.2
- 27.69 deg, intensity 100.0
- 30.29 deg, intensity 47.1
- 35.98 deg, intensity 18.2
- 36.45 deg, intensity 11.1
- 46.47 deg, intensity 13.9
- 47.73 deg, intensity 11.3
- 48.10 deg, intensity 27.0
- 54.39 deg, intensity 26.3
- 54.73 deg, intensity 16.3

Crystal structure
abc: 4.5775 11.5759 4.9303
angles: 90.00 90.00 90.00
Sites, in units of the cell vectors:
Al (0.0000, 0.0637, 0.2500)
Al (0.0000, 0.9363, 0.7500)
Al (0.5000, 0.4363, 0.7500)
Al (0.5000, 0.5637, 0.2500)
Te (0.0000, 0.3333, 0.2500)
Te (0.0000, 0.6667, 0.7500)
Te (0.5000, 0.1667, 0.7500)
Te (0.5000, 0.8333, 0.2500)
O (0.2233, 0.1869, 0.0893)
O (0.2233, 0.8131, 0.5893)
O (0.2277, 0.0514, 0.5709)
O (0.2277, 0.9486, 0.0709)
O (0.2723, 0.4486, 0.0709)
O (0.2723, 0.5514, 0.5709)
O (0.2767, 0.3131, 0.5893)
O (0.2767, 0.6869, 0.0893)
O (0.7233, 0.3131, 0.9107)
O (0.7233, 0.6869, 0.4107)
O (0.7277, 0.4486, 0.4291)
O (0.7277, 0.5514, 0.9291)
O (0.7723, 0.0514, 0.9291)
O (0.7723, 0.9486, 0.4291)
O (0.7767, 0.1869, 0.4107)
O (0.7767, 0.8131, 0.9107)



(9)
For Al2Te4O11, a DFT-relaxed cell (GGA-PBE, the Materials Project) gives the theoretical PXRD pattern in this record (Cu Ka).
No peak broadening, texture or thermal motion is included.

The 10 most intense peaks (2θ = 10–80°), in order of rising 2θ:
- 20.80 deg, intensity 25.1
- 23.87 deg, intensity 100.0
- 24.54 deg, intensity 69.4
- 25.15 deg, intensity 79.7
- 28.61 deg, intensity 91.0
- 29.13 deg, intensity 48.0
- 31.20 deg, intensity 23.1
- 39.63 deg, intensity 38.4
- 44.41 deg, intensity 27.2
- 48.63 deg, intensity 28.9

Crystal structure
abc: 6.9488 7.6287 9.6777
angles: 90.00 99.97 90.00
Sites, in units of the cell vectors:
Al (0.1817, 0.0030, 0.1147)
Al (0.1817, 0.4970, 0.6147)
Al (0.8183, 0.5030, 0.3853)
Al (0.8183, 0.9970, 0.8853)
Te (0.1758, 0.6439, 0.9139)
Te (0.1758, 0.8561, 0.4139)
Te (0.3546, 0.1402, 0.8229)
Te (0.3546, 0.3598, 0.3229)
Te (0.6454, 0.6402, 0.6771)
Te (0.6454, 0.8598, 0.1771)
Te (0.8242, 0.1439, 0.5861)
Te (0.8242, 0.3561, 0.0861)
O (0.0000, 0.0000, 0.5000)
O (0.0000, 0.5000, 0.0000)
O (0.0307, 0.6261, 0.7312)
O (0.0307, 0.8739, 0.2312)
O (0.0575, 0.6349, 0.4512)
O (0.0575, 0.8651, 0.9512)
O (0.2918, 0.1201, 0.2843)
O (0.2918, 0.3799, 0.7843)
O (0.3352, 0.1449, 0.0159)
O (0.3352, 0.3551, 0.5159)
O (0.3690, 0.6826, 0.6514)
O (0.3690, 0.8174, 0.1514)
O (0.6310, 0.1826, 0.8486)
O (0.6310, 0.3174, 0.3486)
O (0.6648, 0.6449, 0.4841)
O (0.6648, 0.8551, 0.9841)
O (0.7082, 0.6201, 0.2157)
O (0.7082, 0.8799, 0.7157)
O (0.9425, 0.1349, 0.0488)
O (0.9425, 0.3651, 0.5488)
O (0.9693, 0.1261, 0.7688)
O (0.9693, 0.3739, 0.2688)



(10)
For Ti3AlO6, a DFT-relaxed cell (GGA-PBE, the Materials Project) gives the theoretical PXRD pattern in this record (Cu Ka).
No peak broadening, texture or thermal motion is included.

The 10 most intense peaks (2θ = 10–80°), in order of rising 2θ:
- 18.27 deg, intensity 84.5
- 30.07 deg, intensity 11.2
- 35.41 deg, intensity 100.0
- 37.04 deg, intensity 7.6
- 43.03 deg, intensity 75.8
- 47.09 deg, intensity 9.6
- 56.90 deg, intensity 33.5
- 62.42 deg, intensity 33.0
- 62.55 deg, intensity 30.8
- 78.82 deg, intensity 8.2

Crystal structure
abc: 5.9506 5.9506 14.5379
angles: 90.00 90.00 120.00
Sites, in units of the cell vectors:
Ti (0.0000, 0.0000, 0.0000)
Ti (0.0000, 0.5000, 0.5000)
Ti (0.1589, 0.3178, 0.1630)
Ti (0.1589, 0.8411, 0.1630)
Ti (0.3178, 0.1589, 0.8370)
Ti (0.3333, 0.6667, 0.3201)
Ti (0.5000, 0.0000, 0.5000)
Ti (0.5000, 0.5000, 0.5000)
Ti (0.6667, 0.3333, 0.6799)
Ti (0.6822, 0.8411, 0.1630)
Ti (0.8411, 0.1589, 0.8370)
Ti (0.8411, 0.6822, 0.8370)
Al (0.0000, 0.0000, 0.3754)
Al (0.0000, 0.0000, 0.6246)
Al (0.3333, 0.6667, 0.9593)
Al (0.6667, 0.3333, 0.0407)
O (0.0000, 0.0000, 0.2530)
O (0.0000, 0.0000, 0.7470)
O (0.0389, 0.5195, 0.2400)
O (0.1670, 0.3339, 0.4153)
O (0.1670, 0.8330, 0.4153)
O (0.1700, 0.3401, 0.9199)
O (0.1700, 0.8300, 0.9199)
O (0.3333, 0.6667, 0.0821)
O (0.3333, 0.6667, 0.5648)
O (0.3339, 0.1670, 0.5847)
O (0.3401, 0.1700, 0.0801)
O (0.4805, 0.5195, 0.2400)
O (0.4805, 0.9611, 0.2400)
O (0.5195, 0.0389, 0.7600)
O (0.5195, 0.4805, 0.7600)
O (0.6599, 0.8300, 0.9199)
O (0.6661, 0.8330, 0.4153)
O (0.6667, 0.3333, 0.4352)
O (0.6667, 0.3333, 0.9179)
O (0.8300, 0.1700, 0.0801)
O (0.8300, 0.6599, 0.0801)
O (0.8330, 0.1670, 0.5847)
O (0.8330, 0.6661, 0.5847)
O (0.9611, 0.4805, 0.7600)



Question: What is the formula in the sixth record?
Answer: TaAlO4